Starting from the GGA-PBE geometry in Alexandria, the X-ray powder pattern of Ca3Ag3Au2 was simulated for copper Kα.
Kinematic intensities with the Lorentz-polarization factor, no thermal factor.

Atomic structure:
a = 4.266 Å, b = 10.643 Å, c = 17.112 Å
α = 90.00°, β = 90.00°, γ = 90.00°
Space group Cmcm (No. 63)
Unique sites:
1 Ca 0.000 0.066 0.106 x8
2 Ca 0.000 0.336 0.250 x4
3 Ag 0.000 0.370 0.027 x8
4 Ag 0.000 0.381 0.750 x4
5 Au 0.000 0.222 0.619 x8

Principal peaks in the range 2θ from 5° to 70°, low angle first:
- 2θ = 16.66°, I 78, (0 2 0)
- 2θ = 23.05°, I 84, (1 1 1)
- 2θ = 26.74°, I 39, (0 2 4)
- 2θ = 30.77°, I 85, (1 1 4)
- 2θ = 34.64°, I 42, (1 1 5)
- 2θ = 36.51°, I 100, (1 3 3)
- 2θ = 39.17°, I 59, (1 3 4)
- 2θ = 39.90°, I 58, (0 4 4)
- 2θ = 42.37°, I 59, (2 0 0)
- 2θ = 43.51°, I 62, (1 1 7)

---

Starting from the GGA-PBE geometry in Alexandria, the X-ray powder pattern of Ca3AgAu was simulated for copper Kα.
Kinematic intensities with the Lorentz-polarization factor, no thermal factor.

Atomic structure:
a = 4.147 Å, b = 7.973 Å, c = 9.575 Å
α = 107.38°, β = 90.18°, γ = 90.15°
Space group P1 (No. 1)
Unique sites:
1 Ca 0.000 0.000 0.000 x1
2 Ca 0.001 0.544 0.109 x1
3 Ca 0.005 0.094 0.389 x1
4 Ca 0.011 0.586 0.719 x1
5 Ca 0.504 0.736 0.450 x1
6 Ca 0.505 0.214 0.772 x1
7 Ag 0.502 0.272 0.189 x1
8 Ag 0.508 0.381 0.503 x1
9 Au 0.004 0.937 0.664 x1
10 Au 0.501 0.853 0.172 x1

Principal peaks in the range 2θ from 5° to 70°, low angle first:
- 2θ = 11.63°, I 49, (0 1 0)
- 2θ = 19.43°, I 100, (0 0 2)
- 2θ = 23.56°, I 74, (1 0 -1)
- 2θ = 31.67°, I 32, (0 2 -3)
- 2θ = 31.86°, I 33, (1 -2 0)
- 2θ = 31.99°, I 32, (1 2 0)
- 2θ = 36.53°, I 39, (1 0 -3)
- 2θ = 36.68°, I 38, (1 0 3)
- 2θ = 38.56°, I 32, (1 -2 3)
- 2θ = 43.65°, I 34, (2 0 0)

---

Starting from the GGA-PBE geometry in Alexandria, the X-ray powder pattern of CaDy2AgAu4 was simulated for copper Kα.
Kinematic intensities with the Lorentz-polarization factor, no thermal factor.

Atomic structure:
a = 4.9871 Å, b = 4.9871 Å, c = 24.4804 Å
α = 90.00°, β = 90.00°, γ = 120.00°
Space group R-3m (No. 166, hexagonal axes)
Unique sites:
1 Ca 0.0000 0.0000 0.0000 x3
2 Dy 0.0000 0.0000 0.2428 x6
3 Ag 0.0000 0.0000 0.5000 x3
4 Au 0.0000 0.0000 0.1215 x6
5 Au 0.0000 0.0000 0.3734 x6

Principal peaks in the range 2θ from 5° to 70°, low angle first:
- 2θ = 21.81°, I 4, (0 0 6)
- 2θ = 25.24°, I 8, (1 0 4)
- 2θ = 32.95°, I 2, (1 0 7)
- 2θ = 35.99°, I 100, (1 1 0)
- 2θ = 44.47°, I 3, (0 0 12)
- 2θ = 51.82°, I 17, (2 0 8)
- 2θ = 58.48°, I 4, (1 1 12)
- 2θ = 64.69°, I 26, (1 2 8)
- 2θ = 64.75°, I 9, (3 0 0)
- 2θ = 68.74°, I 2, (1 1 15)

---

Starting from the GGA-PBE geometry in Alexandria, the X-ray powder pattern of Ca2AgHgAu was simulated for copper Kα.
Kinematic intensities with the Lorentz-polarization factor, no thermal factor.

Atomic structure:
a = 7.330 Å, b = 4.678 Å, c = 7.919 Å
α = 90.00°, β = 110.45°, γ = 90.00°
Space group P2_1/m (No. 11)
Unique sites:
1 Ca 0.034 0.250 0.201 x2
2 Ca 0.363 0.750 0.622 x2
3 Ag 0.343 0.250 0.962 x2
4 Hg 0.333 0.750 0.189 x2
5 Au 0.085 0.250 0.602 x2

Principal peaks in the range 2θ from 5° to 70°, low angle first:
- 2θ = 20.46°, I 50, (1 0 1)
- 2θ = 22.47°, I 77, (0 1 1)
- 2θ = 22.92°, I 32, (1 0 -2)
- 2θ = 24.47°, I 53, (2 0 -1)
- 2θ = 31.14°, I 50, (2 1 -1)
- 2θ = 32.34°, I 44, (2 1 0)
- 2θ = 34.54°, I 61, (2 1 -2)
- 2θ = 36.72°, I 100, (1 1 2)
- 2θ = 38.48°, I 53, (0 2 0)
- 2θ = 39.19°, I 55, (1 1 -3)

---

Starting from the GGA-PBE geometry in Alexandria, the X-ray powder pattern of Ca6Ag2AuN was simulated for copper Kα.
Kinematic intensities with the Lorentz-polarization factor, no thermal factor.

Atomic structure:
a = 6.981 Å, b = 7.669 Å, c = 12.132 Å
α = 90.00°, β = 122.72°, γ = 90.00°
Space group P2_1/c (No. 14)
Unique sites:
1 Ca 0.113 0.029 0.228 x4
2 Ca 0.210 0.716 0.054 x4
3 Ca 0.343 0.166 0.049 x4
4 Ag 0.295 0.090 0.752 x4
5 Au 0.500 0.000 0.500 x2
6 N 0.000 0.000 0.000 x2

Principal peaks in the range 2θ from 5° to 70°, low angle first:
- 2θ = 14.45°, I 61, (0 1 1)
- 2θ = 15.08°, I 59, (1 0 0)
- 2θ = 24.15°, I 100, (1 1 1)
- 2θ = 24.91°, I 93, (1 1 -3)
- 2θ = 28.12°, I 52, (1 2 -2)
- 2θ = 28.71°, I 59, (1 0 2)
- 2θ = 29.78°, I 97, (2 1 -3)
- 2θ = 34.77°, I 54, (2 2 -2)
- 2θ = 35.20°, I 86, (0 0 4)
- 2θ = 38.02°, I 64, (2 1 1)

---

Starting from the GGA-PBE geometry in Alexandria, the X-ray powder pattern of CaSi2AgAu7 was simulated for copper Kα.
Kinematic intensities with the Lorentz-polarization factor, no thermal factor.

Atomic structure:
a = 4.153 Å, b = 4.153 Å, c = 14.698 Å
α = 90.00°, β = 90.00°, γ = 90.00°
Space group P4/mmm (No. 123)
Unique sites:
1 Ca 0.000 0.000 0.000 x1
2 Si 0.500 0.500 0.251 x2
3 Ag 0.000 0.000 0.500 x1
4 Au 0.000 0.500 0.157 x4
5 Au 0.500 0.500 0.000 x1
6 Au 0.500 0.500 0.410 x2

Principal peaks in the range 2θ from 5° to 70°, low angle first:
- 2θ = 6.01°, I 77, (0 0 1)
- 2θ = 18.11°, I 51, (0 0 3)
- 2θ = 21.39°, I 47, (1 0 0)
- 2θ = 31.05°, I 65, (1 1 1)
- 2θ = 32.84°, I 81, (1 1 2)
- 2θ = 35.64°, I 100, (1 1 3)
- 2θ = 37.48°, I 39, (1 0 5)
- 2θ = 39.27°, I 41, (1 1 4)
- 2θ = 43.58°, I 86, (2 0 0)
- 2θ = 48.39°, I 32, (1 1 6)

---

Starting from the GGA-PBE geometry in Alexandria, the X-ray powder pattern of Ca2Si3AgAu4 was simulated for copper Kα.
Kinematic intensities with the Lorentz-polarization factor, no thermal factor.

Atomic structure:
a = 4.402 Å, b = 4.402 Å, c = 10.446 Å
α = 90.00°, β = 90.00°, γ = 90.00°
Space group P-4m2 (No. 115)
Unique sites:
1 Ca 0.000 0.500 0.248 x2
2 Si 0.000 0.500 0.875 x2
3 Si 0.500 0.500 0.500 x1
4 Ag 0.000 0.000 0.500 x1
5 Au 0.000 0.000 0.000 x1
6 Au 0.000 0.500 0.647 x2
7 Au 0.500 0.500 0.000 x1

Principal peaks in the range 2θ from 5° to 70°, low angle first:
- 2θ = 16.98°, I 29, (0 0 2)
- 2θ = 21.91°, I 43, (1 0 1)
- 2θ = 25.58°, I 31, (0 0 3)
- 2θ = 26.48°, I 38, (1 0 2)
- 2θ = 29.96°, I 51, (1 1 1)
- 2θ = 33.52°, I 100, (1 1 2)
- 2θ = 41.01°, I 63, (2 0 0)
- 2θ = 45.33°, I 59, (1 1 4)
- 2θ = 48.96°, I 23, (2 0 3)
- 2θ = 69.93°, I 32, (3 1 2)

---

Starting from the GGA-PBE geometry in Alexandria, the X-ray powder pattern of Ca2TlAgAu was simulated for copper Kα.
Kinematic intensities with the Lorentz-polarization factor, no thermal factor.

Atomic structure:
a = 7.565 Å, b = 4.658 Å, c = 7.929 Å
α = 90.00°, β = 109.63°, γ = 90.00°
Space group P2_1/m (No. 11)
Unique sites:
1 Ca 0.036 0.250 0.202 x2
2 Ca 0.355 0.750 0.624 x2
3 Tl 0.336 0.750 0.184 x2
4 Ag 0.341 0.250 0.956 x2
5 Au 0.080 0.250 0.603 x2

Principal peaks in the range 2θ from 5° to 70°, low angle first:
- 2θ = 14.00°, I 36, (1 0 -1)
- 2θ = 19.90°, I 53, (1 0 1)
- 2θ = 22.50°, I 77, (0 1 1)
- 2θ = 23.78°, I 59, (2 0 -1)
- 2θ = 30.65°, I 34, (2 1 -1)
- 2θ = 31.62°, I 45, (2 1 0)
- 2θ = 34.27°, I 65, (2 1 -2)
- 2θ = 36.24°, I 100, (1 1 2)
- 2θ = 38.66°, I 51, (0 2 0)
- 2θ = 39.19°, I 50, (1 1 -3)

---

Starting from the GGA-PBE geometry in Alexandria, the X-ray powder pattern of Ca3ZnAg2Au9 was simulated for copper Kα.
Kinematic intensities with the Lorentz-polarization factor, no thermal factor.

Atomic structure:
a = 5.6970 Å, b = 5.6970 Å, c = 13.0993 Å
α = 90.00°, β = 90.00°, γ = 120.00°
Space group P-3m1 (No. 164)
Unique sites:
1 Ca 0.0000 0.0000 0.0000 x1
2 Ca 0.3333 0.6667 0.7682 x2
3 Zn 0.0000 0.0000 0.5000 x1
4 Ag 0.3333 0.6667 0.1729 x2
5 Au 0.0000 0.5000 0.0000 x3
6 Au 0.1670 0.3341 0.3453 x6

Principal peaks in the range 2θ from 5° to 70°, low angle first:
- 2θ = 19.22°, I 65, (1 0 1)
- 2θ = 20.34°, I 67, (0 0 3)
- 2θ = 37.08°, I 54, (0 2 1)
- 2θ = 37.71°, I 30, (1 1 3)
- 2θ = 39.00°, I 100, (2 0 2)
- 2θ = 41.36°, I 20, (0 0 6)
- 2θ = 46.07°, I 47, (0 2 4)
- 2θ = 50.84°, I 18, (2 0 5)
- 2θ = 65.54°, I 20, (2 2 0)
- 2θ = 69.41°, I 15, (2 2 3)

---

Starting from the GGA-PBE geometry in Alexandria, the X-ray powder pattern of CaZnAg2Au2 was simulated for copper Kα.
Kinematic intensities with the Lorentz-polarization factor, no thermal factor.

Atomic structure:
a = 4.156 Å, b = 4.156 Å, c = 17.203 Å
α = 90.00°, β = 90.00°, γ = 90.00°
Space group I4/mmm (No. 139)
Unique sites:
1 Ca 0.000 0.000 0.000 x2
2 Zn 0.000 0.000 0.500 x2
3 Ag 0.000 0.500 0.250 x4
4 Au 0.000 0.000 0.360 x4

Principal peaks in the range 2θ from 5° to 70°, low angle first:
- 2θ = 10.28°, I 57, (0 0 2)
- 2θ = 22.00°, I 100, (1 0 1)
- 2θ = 26.49°, I 82, (1 0 3)
- 2θ = 32.19°, I 36, (1 1 2)
- 2θ = 37.05°, I 79, (1 1 4)
- 2θ = 42.75°, I 41, (1 0 7)
- 2θ = 43.56°, I 58, (2 0 0)
- 2θ = 44.13°, I 62, (1 1 6)
- 2θ = 62.12°, I 29, (2 0 8)
- 2θ = 62.67°, I 27, (2 1 7)

---

Starting from the GGA-PBE geometry in Alexandria, the X-ray powder pattern of Cd3Ag6Au was simulated for copper Kα.
Kinematic intensities with the Lorentz-polarization factor, no thermal factor.

Atomic structure:
a = 13.5988 Å, b = 13.5988 Å, c = 7.5446 Å
α = 90.00°, β = 90.00°, γ = 120.00°
Space group R-3c (No. 167, hexagonal axes)
Unique sites:
1 Cd 0.0000 0.2693 0.2500 x18
2 Ag 0.0613 0.2102 0.5838 x36
3 Au 0.0000 0.0000 0.2500 x6

Principal peaks in the range 2θ from 5° to 70°, low angle first:
- 2θ = 28.09°, I 32, (2 0 2)
- 2θ = 34.91°, I 30, (4 1 0)
- 2θ = 35.29°, I 56, (3 2 1)
- 2θ = 36.38°, I 100, (3 1 2)
- 2θ = 38.15°, I 37, (1 1 3)
- 2θ = 39.77°, I 20, (3 3 0)
- 2θ = 42.34°, I 46, (2 4 1)
- 2θ = 53.17°, I 19, (3 4 2)
- 2θ = 56.33°, I 27, (1 3 4)
- 2θ = 68.41°, I 15, (8 0 2)

---

Starting from the GGA-PBE geometry in Alexandria, the X-ray powder pattern of Cd3Ag5Au was simulated for copper Kα.
Kinematic intensities with the Lorentz-polarization factor, no thermal factor.

Atomic structure:
a = 7.419 Å, b = 5.842 Å, c = 8.124 Å
α = 90.00°, β = 103.70°, γ = 90.00°
Space group P2_1 (No. 4)
Unique sites:
1 Cd 0.001 0.000 0.001 x2
2 Cd 0.012 0.749 0.669 x2
3 Cd 0.369 0.748 0.227 x2
4 Ag 0.011 0.249 0.685 x2
5 Ag 0.313 0.498 0.530 x2
6 Ag 0.313 0.999 0.530 x2
7 Ag 0.329 0.498 0.885 x2
8 Ag 0.330 0.998 0.884 x2
9 Au 0.365 0.248 0.222 x2

Principal peaks in the range 2θ from 5° to 70°, low angle first:
- 2θ = 36.02°, I 73, (1 2 1)
- 2θ = 37.24°, I 94, (2 0 -3)
- 2θ = 37.43°, I 85, (3 0 0)
- 2θ = 38.34°, I 92, (0 2 2)
- 2θ = 39.13°, I 78, (1 0 3)
- 2θ = 39.67°, I 100, (2 2 -1)
- 2θ = 50.37°, I 25, (3 2 -2)
- 2θ = 55.10°, I 21, (1 2 -4)
- 2θ = 58.73°, I 28, (3 2 2)
- 2θ = 63.72°, I 20, (0 4 0)

---

Starting from the GGA-PBE geometry in Alexandria, the X-ray powder pattern of Cd8Ag3Au2 was simulated for copper Kα.
Kinematic intensities with the Lorentz-polarization factor, no thermal factor.

Atomic structure:
a = 12.354 Å, b = 8.171 Å, c = 5.634 Å
α = 90.00°, β = 97.74°, γ = 90.00°
Space group C2/m (No. 12)
Unique sites:
1 Cd 0.093 0.000 0.381 x4
2 Cd 0.119 0.188 0.924 x8
3 Cd 0.194 0.500 0.318 x4
4 Ag 0.000 0.327 0.500 x4
5 Ag 0.000 0.500 0.000 x2
6 Au 0.204 0.500 0.810 x4

Principal peaks in the range 2θ from 5° to 70°, low angle first:
- 2θ = 21.75°, I 36, (0 2 0)
- 2θ = 26.23°, I 37, (2 2 0)
- 2θ = 37.16°, I 87, (2 0 2)
- 2θ = 37.91°, I 87, (1 3 1)
- 2θ = 38.15°, I 100, (3 1 -2)
- 2θ = 38.38°, I 94, (5 1 0)
- 2θ = 38.51°, I 59, (4 2 -1)
- 2θ = 39.79°, I 41, (3 3 0)
- 2θ = 67.48°, I 28, (1 1 -4)
- 2θ = 68.96°, I 38, (3 5 -2)